The following is a simulated XRD peak list of TmScZn10. It was derived from a crystal structure in Alexandria, relaxed with PBE, using Cu Kα, 1.54184 Å.
No peak broadening, texture or thermal motion is included.

Largest 10 diffraction maxima, sorted by position, 2θ = 10–90°:
2θ 29.00, I = 42; 2θ 34.38, I = 25; 2θ 39.81, I = 32; 2θ 40.61, I = 51; 2θ 40.71, I = 100; 2θ 43.04, I = 45; 2θ 45.51, I = 22; 2θ 65.73, I = 23; 2θ 77.29, I = 21; 2θ 88.17, I = 21

Cell and atoms:
Unit cell a=4.2028 b=5.2347 c=9.0254 alpha=90.00 beta=90.00 gamma=90.00
Sites, in units of the cell vectors:
Tm (0.0000, 0.0000, 0.0000)
Sc (0.0000, 0.5000, 0.5000)
Zn (0.0000, 0.0000, 0.3389)
Zn (0.0000, 0.0000, 0.6611)
Zn (0.0000, 0.5000, 0.1718)
Zn (0.0000, 0.5000, 0.8282)
Zn (0.5000, 0.0000, 0.5000)
Zn (0.5000, 0.2500, 0.2509)
Zn (0.5000, 0.2500, 0.7491)
Zn (0.5000, 0.5000, 0.0000)
Zn (0.5000, 0.7500, 0.2509)
Zn (0.5000, 0.7500, 0.7491)